Diffraction record for Cs2NdCoO4. The X-ray powder pattern is simulated, not measured: it uses a DFT-relaxed cell (GGA+U, Alexandria) and Cu Kα X-rays.

Cell and atoms:
Cell: 13.746 12.461 7.133 Å, 84.45 64.46 31.10°
Atoms (fractional coordinates):
Cs 0.062 0.062 0.688
Cs 0.312 0.312 0.938
Cs 0.688 0.688 0.062
Cs 0.938 0.938 0.312
Nd 0.125 0.125 0.125
Nd 0.875 0.875 0.875
Co 0.375 0.375 0.375
Co 0.625 0.625 0.625
O 0.039 0.639 0.534
O 0.288 0.534 0.639
O 0.361 0.961 0.712
O 0.466 0.712 0.961
O 0.534 0.288 0.039
O 0.639 0.039 0.288
O 0.712 0.466 0.361
O 0.961 0.361 0.466

Largest 8 diffraction maxima, low angle first, 10 to 80 degrees two-theta:
2θ/deg	I_rel
14.6	76
17.0	42
24.8	55
26.0	100
27.4	49
31.6	54
33.5	62
47.4	38